BaIn2P2: computed powder diffraction line list (a wavelength of 1.5418 Å), based on a cell relaxed with GGA-PBE.

```
data_BaIn2P2
_symmetry_space_group_name_H-M 'P 1 21/m 1'
_symmetry_Int_Tables_number 11
_symmetry_space_group_name_Hall '-P 2yb'
_cell_length_a 10.1642
_cell_length_b 4.2509
_cell_length_c 13.1418
_cell_angle_alpha 90.00
_cell_angle_beta 94.62
_cell_angle_gamma 90.00
loop_
_atom_site_label
_atom_site_fract_x
_atom_site_fract_y
_atom_site_fract_z
_atom_site_occupancy
Ba1 0.0610 0.2500 0.3460 1
Ba2 0.3401 0.7500 0.0911 1
In1 0.0523 0.2500 0.9050 1
In2 0.2722 0.2500 0.7831 1
In3 0.3110 0.7500 0.5354 1
In4 0.4562 0.2500 0.3351 1
P1 0.1078 0.2500 0.1069 1
P2 0.1706 0.2500 0.5894 1
P3 0.3003 0.7500 0.3339 1
P4 0.4214 0.7500 0.8383 1
```

The 6 most intense peaks (5 to 70 degrees two-theta), by angle:
index, Position (°2θ), I_rel
0 1 2, 24.97, 100
2 1 0, 27.39, 58
2 0 3, 28.01, 44
2 1 1, 28.59, 44
1 0 4, 29.33, 39
0 2 0, 42.54, 48

---

BaCaSmBiO6: computed powder diffraction line list (a wavelength of 1.5418 Å), based on a cell relaxed with GGA-PBE.

```
data_BaCaSmBiO6
_symmetry_space_group_name_H-M 'P 2 2 2'
_symmetry_Int_Tables_number 16
_symmetry_space_group_name_Hall 'P 2 2'
_cell_length_a 8.6126
_cell_length_b 8.6249
_cell_length_c 8.6456
_cell_angle_alpha 90.00
_cell_angle_beta 90.00
_cell_angle_gamma 90.00
loop_
_atom_site_label
_atom_site_fract_x
_atom_site_fract_y
_atom_site_fract_z
_atom_site_occupancy
Ba1 0.0000 0.0000 0.0000 1
Ba2 0.0000 0.0000 0.5000 1
Ba3 0.0000 0.5000 0.0000 1
Ba4 0.5000 0.5000 0.5000 1
Ca1 0.0000 0.5000 0.5000 1
Ca2 0.5000 0.0000 0.0000 1
Ca3 0.5000 0.0000 0.5000 1
Ca4 0.5000 0.5000 0.0000 1
Sm1 0.2553 0.2516 0.7490 1
Bi1 0.2565 0.2494 0.2515 1
O1 0.0108 0.2766 0.2119 1
O2 0.2059 0.3096 0.4894 1
O3 0.2197 0.0080 0.2848 1
O4 0.3030 0.2018 0.0101 1
O5 0.3058 0.4888 0.1991 1
O6 0.4913 0.2068 0.3147 1
```

The 6 most intense peaks (5 to 70 degrees two-theta), by angle:
index, Position (°2θ), I_rel
0 2 0, 20.59, 20
2 0 2, 29.28, 100
0 4 0, 41.93, 18
2 4 2, 51.90, 31
4 2 2, 51.97, 15
0 4 4, 60.69, 10

---

CdHgSeO6: computed powder diffraction line list (a wavelength of 1.5418 Å), based on a cell relaxed with GGA-PBE.

```
data_CdHgSeO6
_symmetry_space_group_name_H-M 'C 1 2/m 1'
_symmetry_Int_Tables_number 12
_symmetry_space_group_name_Hall '-C 2y'
_cell_length_a 10.3668
_cell_length_b 9.2124
_cell_length_c 6.1758
_cell_angle_alpha 90.00
_cell_angle_beta 97.70
_cell_angle_gamma 90.00
loop_
_atom_site_label
_atom_site_fract_x
_atom_site_fract_y
_atom_site_fract_z
_atom_site_occupancy
Cd1 0.0000 0.1979 0.0000 1
Hg1 0.2500 0.2500 0.5000 1
Se1 0.1997 0.5000 0.0117 1
O1 0.0779 0.1548 0.3700 1
O2 0.1357 0.0000 0.9718 1
O3 0.1458 0.3502 0.8712 1
O4 0.1558 0.5000 0.2594 1
```

The 6 most intense peaks (5 to 70 degrees two-theta), by angle:
index, Position (°2θ), I_rel
0 2 0, 19.27, 45
2 0 -1, 21.04, 55
0 2 1, 24.18, 58
2 2 -1, 28.68, 100
0 0 2, 29.18, 65
2 2 1, 31.01, 99

---

Y2Ti3O9: computed powder diffraction line list (a wavelength of 1.5418 Å), based on a cell relaxed with GGA-PBE.

```
data_Y2Ti3O9
_symmetry_space_group_name_H-M 'P n m a'
_symmetry_Int_Tables_number 62
_symmetry_space_group_name_Hall '-P 2ac 2n'
_cell_length_a 16.5525
_cell_length_b 7.6799
_cell_length_c 5.3059
_cell_angle_alpha 90.00
_cell_angle_beta 90.00
_cell_angle_gamma 90.00
loop_
_atom_site_label
_atom_site_fract_x
_atom_site_fract_y
_atom_site_fract_z
_atom_site_occupancy
Y1 0.0183 0.2500 0.0102 1
Y2 0.1851 0.2500 0.4786 1
Ti1 0.0000 0.0000 0.5000 1
Ti2 0.1667 0.5090 0.9916 1
O1 0.0063 0.7500 0.4115 1
O2 0.0624 0.5337 0.8129 1
O3 0.0956 0.0647 0.2903 1
O4 0.1548 0.2500 0.8932 1
O5 0.1723 0.7500 0.0637 1
O6 0.2423 0.5365 0.7264 1
```

The 6 most intense peaks (5 to 70 degrees two-theta), by angle:
index, Position (°2θ), I_rel
2 1 0, 15.74, 37
1 1 1, 21.05, 31
6 0 0, 32.45, 23
3 2 1, 33.06, 100
6 0 2, 47.55, 33
3 2 3, 59.98, 24

---

LuHfCo2: computed powder diffraction line list (a wavelength of 1.5418 Å), based on a cell relaxed with GGA-PBE.

```
data_LuHfCo2
_symmetry_space_group_name_H-M 'F m -3 m'
_symmetry_Int_Tables_number 225
_symmetry_space_group_name_Hall '-F 4 2 3'
_cell_length_a 6.4185
_cell_length_b 6.4185
_cell_length_c 6.4185
_cell_angle_alpha 90.00
_cell_angle_beta 90.00
_cell_angle_gamma 90.00
loop_
_atom_site_label
_atom_site_fract_x
_atom_site_fract_y
_atom_site_fract_z
_atom_site_occupancy
Lu1 0.0000 0.0000 0.0000 1
Hf1 0.0000 0.0000 0.5000 1
Co1 0.2500 0.2500 0.2500 1
```

The 5 most intense peaks (5 to 70 degrees two-theta), by angle:
index, Position (°2θ), I_rel
2 0 0, 27.80, 28
2 2 0, 39.72, 100
2 2 2, 49.17, 8
4 0 0, 57.43, 17
4 2 0, 64.98, 12

---

BaH4C2O6: computed powder diffraction line list (a wavelength of 1.5418 Å), based on a cell relaxed with GGA-PBE.

```
data_BaH4C2O6
_symmetry_space_group_name_H-M 'P 1 21/c 1'
_symmetry_Int_Tables_number 14
_symmetry_space_group_name_Hall '-P 2ybc'
_cell_length_a 7.5620
_cell_length_b 11.1692
_cell_length_c 7.1877
_cell_angle_alpha 90.00
_cell_angle_beta 104.97
_cell_angle_gamma 90.00
loop_
_atom_site_label
_atom_site_fract_x
_atom_site_fract_y
_atom_site_fract_z
_atom_site_occupancy
Ba1 0.1982 0.0096 0.2921 1
H1 0.2482 0.2149 0.9030 1
H2 0.3640 0.5271 0.2765 1
H3 0.4038 0.1067 0.7399 1
H4 0.4588 0.2456 0.4626 1
C1 0.0412 0.7471 0.4921 1
C2 0.2128 0.7015 0.4284 1
O1 0.0149 0.6416 0.9981 1
O2 0.0588 0.1653 0.9636 1
O3 0.2349 0.5889 0.4290 1
O4 0.3161 0.7207 0.8832 1
O5 0.3494 0.2480 0.8517 1
O6 0.4188 0.0245 0.6926 1
```

The 6 most intense peaks (5 to 70 degrees two-theta), by angle:
index, Position (°2θ), I_rel
0 2 0, 15.87, 43
1 1 -1, 17.13, 100
1 1 1, 21.34, 74
2 1 -1, 25.71, 45
0 2 2, 30.31, 59
1 0 2, 31.23, 61

---

NaLaSn2O6: computed powder diffraction line list (a wavelength of 1.5418 Å), based on a cell relaxed with GGA-PBE.

```
data_NaLaSn2O6
_symmetry_space_group_name_H-M 'F m -3 m'
_symmetry_Int_Tables_number 225
_symmetry_space_group_name_Hall '-F 4 2 3'
_cell_length_a 8.1466
_cell_length_b 8.1466
_cell_length_c 8.1466
_cell_angle_alpha 90.00
_cell_angle_beta 90.00
_cell_angle_gamma 90.00
loop_
_atom_site_label
_atom_site_fract_x
_atom_site_fract_y
_atom_site_fract_z
_atom_site_occupancy
Na1 0.0000 0.0000 0.0000 1
La1 0.0000 0.0000 0.5000 1
Sn1 0.2500 0.2500 0.2500 1
O1 0.0000 0.2500 0.2500 1
```

The 6 most intense peaks (5 to 70 degrees two-theta), by angle:
index, Position (°2θ), I_rel
1 1 1, 18.87, 21
2 2 0, 31.05, 100
3 1 1, 36.58, 12
4 0 0, 44.48, 34
4 2 2, 55.24, 41
4 4 0, 64.73, 21

---

Gd2Zn6Ge3: computed powder diffraction line list (a wavelength of 1.5418 Å), based on a cell relaxed with GGA-PBE.

```
data_Gd2Zn6Ge3
_symmetry_space_group_name_H-M 'P -6 2 m'
_symmetry_Int_Tables_number 189
_symmetry_space_group_name_Hall 'P -6 -2'
_cell_length_a 7.6316
_cell_length_b 7.6316
_cell_length_c 4.0531
_cell_angle_alpha 90.00
_cell_angle_beta 90.00
_cell_angle_gamma 120.00
loop_
_atom_site_label
_atom_site_fract_x
_atom_site_fract_y
_atom_site_fract_z
_atom_site_occupancy
Gd1 0.3333 0.6667 0.0000 1
Zn1 0.0000 0.1909 0.0000 1
Zn2 0.0000 0.7141 0.5000 1
Ge1 0.0000 0.3870 0.5000 1
```

The 6 most intense peaks (5 to 70 degrees two-theta), by angle:
index, Position (°2θ), I_rel
1 1 1, 32.22, 100
2 1 0, 35.95, 24
3 0 0, 40.97, 32
2 1 1, 42.51, 53
0 0 2, 44.72, 23
4 1 1, 69.12, 31

---

Hg3N2Cl8O: computed powder diffraction line list (a wavelength of 1.5418 Å), based on a cell relaxed with GGA-PBE.

```
data_Hg3N2Cl8O
_symmetry_space_group_name_H-M 'C 1 2/m 1'
_symmetry_Int_Tables_number 12
_symmetry_space_group_name_Hall '-C 2y'
_cell_length_a 21.3297
_cell_length_b 4.1329
_cell_length_c 8.8378
_cell_angle_alpha 90.00
_cell_angle_beta 104.45
_cell_angle_gamma 90.00
loop_
_atom_site_label
_atom_site_fract_x
_atom_site_fract_y
_atom_site_fract_z
_atom_site_occupancy
Hg1 0.0000 0.0000 0.0000 1
Hg2 0.1722 0.0000 0.8847 1
N1 0.1900 0.5000 0.4071 1
Cl1 0.0495 0.0000 0.2744 1
Cl2 0.0866 0.5000 0.9546 1
Cl3 0.1098 0.0000 0.6181 1
Cl4 0.2332 0.0000 0.1559 1
O1 0.0000 0.5000 0.5000 1
```

The 6 most intense peaks (5 to 70 degrees two-theta), by angle:
index, Position (°2θ), I_rel
0 0 1, 10.34, 100
1 1 0, 21.93, 29
1 1 1, 24.76, 22
5 1 -1, 30.55, 73
5 1 -2, 33.96, 17
2 0 3, 34.65, 17

---

Co3Ni6S8: computed powder diffraction line list (a wavelength of 1.5418 Å), based on a cell relaxed with GGA-PBE.

```
data_Co3Ni6S8
_symmetry_space_group_name_H-M 'I m m 2'
_symmetry_Int_Tables_number 44
_symmetry_space_group_name_Hall 'I 2 -2'
_cell_length_a 7.0117
_cell_length_b 7.0200
_cell_length_c 9.9326
_cell_angle_alpha 90.00
_cell_angle_beta 90.00
_cell_angle_gamma 90.00
loop_
_atom_site_label
_atom_site_fract_x
_atom_site_fract_y
_atom_site_fract_z
_atom_site_occupancy
Co1 0.0000 0.0000 0.0000 1
Co2 0.2499 0.0000 0.3774 1
Ni1 0.0000 0.2515 0.3775 1
Ni2 0.0000 0.2544 0.6299 1
Ni3 0.2484 0.5000 0.1292 1
S1 0.0000 0.0000 0.2417 1
S2 0.0000 0.0000 0.7661 1
S3 0.0000 0.5000 0.2534 1
S4 0.0000 0.5000 0.7580 1
S5 0.2352 0.2403 0.0009 1
```

The 6 most intense peaks (5 to 70 degrees two-theta), by angle:
index, Position (°2θ), I_rel
0 1 1, 15.46, 25
1 0 3, 29.86, 88
2 0 2, 31.22, 18
1 2 3, 39.58, 16
3 2 1, 47.61, 35
0 4 0, 52.13, 100